No. 1
Structure and calculated X-ray powder pattern of TiCo3H (a GGA-PBE-relaxed structure; λ = 1.5418 Å (Cu Kα)).

Unit cell a=5.185 b=5.185 c=4.197 alpha=90.00 beta=90.00 gamma=120.00
Element x y z (fractional)
1 Ti 0.000 0.000 0.000
2 Ti 0.333 0.667 0.523
3 Co 0.333 0.167 0.511
4 Co 0.512 0.024 0.003
5 Co 0.512 0.488 0.003
6 Co 0.833 0.167 0.511
7 Co 0.833 0.667 0.511
8 Co 0.976 0.488 0.003
9 H 0.333 0.667 0.040
10 H 0.667 0.333 0.282

Top 6 peaks for 2θ = 5–70°, low angle first:
2theta, I_rel
19.77, 3
40.16, 25
43.11, 27
45.84, 100
58.68, 2
60.38, 14

=====

No. 2
Structure and calculated X-ray powder pattern of Na2LiGaAu2 (a GGA-PBE-relaxed structure; λ = 1.5418 Å (Cu Kα)).

Unit cell a=4.665 b=7.637 c=7.342 alpha=90.00 beta=90.00 gamma=90.00
Element x y z (fractional)
1 Na 0.000 0.133 0.000
2 Na 0.000 0.867 0.500
3 Na 0.500 0.156 0.325
4 Na 0.500 0.844 0.825
5 Li 0.500 0.470 0.009
6 Li 0.500 0.530 0.509
7 Ga 0.000 0.288 0.608
8 Ga 0.000 0.712 0.108
9 Au 0.000 0.422 0.287
10 Au 0.000 0.578 0.787
11 Au 0.500 0.222 0.734
12 Au 0.500 0.778 0.234

Top 6 peaks for 2θ = 5–70°, low angle first:
2theta, I_rel
16.75, 65
22.33, 65
24.25, 65
25.45, 100
37.39, 61
39.14, 67

=====

No. 3
Structure and calculated X-ray powder pattern of TbPr4Y (a GGA-PBE-relaxed structure; λ = 1.5418 Å (Cu Kα)).

Unit cell a=8.374 b=8.374 c=3.518 alpha=90.00 beta=90.00 gamma=90.18
Element x y z (fractional)
1 Tb 0.000 0.000 0.000
2 Pr 0.239 0.239 0.500
3 Pr 0.260 0.740 0.000
4 Pr 0.740 0.260 0.000
5 Pr 0.761 0.761 0.500
6 Y 0.500 0.500 0.500

Top 6 peaks for 2θ = 5–70°, low angle first:
2theta, I_rel
14.96, 50
21.22, 35
29.54, 100
30.18, 95
42.73, 71
43.21, 35